Simulated powder X-ray diffraction pattern
Compound: Li4Cr3FeO8
Radiation: Cu Kα
Structure: a GGA+U-relaxed structure

Top 6 peaks for 2θ from 10° to 90°, by intensity:
Position (°2θ)  d/Å  I (rel.)  index
18.3  4.850  100  1 0 -1
43.0  2.104  82  1 2 0
35.4  2.539  42  0 0 4
62.4  1.489  23  0 2 5
62.5  1.486  21  3 0 1
37.0  2.429  16  2 0 -2

Crystal structure
```
data_Li4Cr3FeO8
_space_group_name_H-M_alt 'P -1'
_space_group_IT_number 2
_space_group_name_Hall '-P 1'
_cell_length_a 5.1462
_cell_length_b 5.9542
_cell_length_c 10.7285
_cell_angle_alpha 97.96
_cell_angle_beta 103.82
_cell_angle_gamma 106.82
loop_
_atom_site_label
_atom_site_type_symbol
_atom_site_fract_x
_atom_site_fract_y
_atom_site_fract_z
Li1 Li 0.0000 0.0000 0.0000
Li2 Li 0.0000 0.5000 0.0000
Li3 Li 0.2489 0.3744 0.2502
Li4 Li 0.2503 0.8754 0.2502
Li5 Li 0.4995 0.2498 0.4996
Cr1 Cr 0.1245 0.4374 0.6246
Cr2 Cr 0.1254 0.9380 0.6254
Cr3 Cr 0.3751 0.8127 0.8751
Fe1 Fe 0.3751 0.3130 0.8750
O1 O 0.0832 0.9713 0.8099
O2 O 0.0840 0.4751 0.8100
O3 O 0.1628 0.4009 0.4393
O4 O 0.1632 0.9005 0.4394
O5 O 0.3321 0.3470 0.0616
O6 O 0.3334 0.8503 0.0601
O7 O 0.4136 0.7761 0.6900
O8 O 0.4157 0.2758 0.6882
```

---

Simulated powder X-ray diffraction pattern
Compound: NiH6C2N2O4
Radiation: Cu Kα
Structure: a GGA+U-relaxed structure

Top 6 peaks for 2θ from 10° to 90°, by intensity:
Position (°2θ)  d/Å  I (rel.)  index
16.4  5.390  100  1 1 0
17.1  5.192  56  0 0 2
23.9  3.718  51  1 1 -2
37.8  2.381  30  2 2 -2
15.7  5.656  24  1 0 1
26.0  3.425  17  0 2 2

Crystal structure
```
data_NiH6C2N2O4
_space_group_name_H-M_alt 'P -1'
_space_group_IT_number 2
_space_group_name_Hall '-P 1'
_cell_length_a 6.7452
_cell_length_b 8.9670
_cell_length_c 10.3850
_cell_angle_alpha 88.93
_cell_angle_beta 89.99
_cell_angle_gamma 90.00
loop_
_atom_site_label
_atom_site_type_symbol
_atom_site_fract_x
_atom_site_fract_y
_atom_site_fract_z
Ni1 Ni 0.0121 0.0003 0.2503
Ni2 Ni 0.4883 0.5000 0.2501
H1 H 0.1143 0.1405 0.5436
H2 H 0.1144 0.8595 0.9563
H3 H 0.1941 0.3558 0.8596
H4 H 0.1941 0.6440 0.6405
H5 H 0.2484 0.4935 0.5595
H6 H 0.2485 0.5064 0.9404
H7 H 0.2514 0.0066 0.9402
H8 H 0.2514 0.9935 0.5594
H9 H 0.3057 0.1440 0.6404
H10 H 0.3058 0.8560 0.8594
H11 H 0.3857 0.3595 0.9563
H12 H 0.3856 0.6405 0.5436
C1 C 0.1913 0.2798 0.3086
C2 C 0.1913 0.7204 0.1912
C3 C 0.3088 0.2203 0.1914
C4 C 0.3088 0.7797 0.3088
N1 N 0.1902 0.0782 0.6112
N2 N 0.1902 0.9218 0.8885
N3 N 0.3096 0.4217 0.8887
N4 N 0.3096 0.5782 0.6113
O1 O 0.0415 0.2037 0.3456
O2 O 0.0417 0.7966 0.1541
O3 O 0.2482 0.1016 0.1410
O4 O 0.2483 0.8985 0.3591
O5 O 0.2518 0.3985 0.3591
O6 O 0.2519 0.6016 0.1409
O7 O 0.4584 0.2965 0.1543
O8 O 0.4584 0.7035 0.3459
```

---

Simulated powder X-ray diffraction pattern
Compound: Li4MnSi2O7
Radiation: Cu Kα
Structure: a GGA+U-relaxed structure

Top 6 peaks for 2θ from 10° to 90°, by intensity:
Position (°2θ)  d/Å  I (rel.)  index
32.7  2.741  100  3 1 -2
20.3  4.379  84  1 1 -1
21.9  4.063  60  0 0 2
36.3  2.477  51  4 0 2
58.3  1.584  34  3 3 -2
26.5  3.357  32  4 0 0

Crystal structure
```
data_Li4MnSi2O7
_space_group_name_H-M_alt 'C 1 c 1'
_space_group_IT_number 9
_space_group_name_Hall 'C -2yc'
_cell_length_a 13.4886
_cell_length_b 5.4904
_cell_length_c 8.1622
_cell_angle_alpha 90.00
_cell_angle_beta 95.37
_cell_angle_gamma 90.00
loop_
_atom_site_label
_atom_site_type_symbol
_atom_site_fract_x
_atom_site_fract_y
_atom_site_fract_z
Li1 Li 0.0000 0.1453 0.0000
Li2 Li 0.0697 0.3226 0.3526
Li3 Li 0.1982 0.3414 0.0714
Li4 Li 0.2716 0.1902 0.4257
Mn1 Mn 0.4257 0.1614 0.1477
Si1 Si 0.1417 0.1700 0.7102
Si2 Si 0.3502 0.3345 0.7756
O1 O 0.0555 0.3114 0.8068
O2 O 0.1135 0.1147 0.1768
O3 O 0.1648 0.3157 0.5446
O4 O 0.2501 0.1856 0.8420
O5 O 0.3190 0.3799 0.2416
O6 O 0.3832 0.1966 0.6097
O7 O 0.4414 0.3132 0.9224
```

---

Simulated powder X-ray diffraction pattern
Compound: Li3Fe3WO8
Radiation: Cu Kα
Structure: a GGA+U-relaxed structure

Top 6 peaks for 2θ from 10° to 90°, by intensity:
Position (°2θ)  d/Å  I (rel.)  index
17.9  4.946  100  2 0 -1
41.8  2.161  41  2 2 -2
34.2  2.621  38  0 2 1
17.7  5.018  26  1 1 0
41.2  2.191  21  4 0 0
60.7  1.525  17  4 0 -4

Crystal structure
```
data_Li3Fe3WO8
_space_group_name_H-M_alt 'C 1 2/m 1'
_space_group_IT_number 12
_space_group_name_Hall '-C 2y'
_cell_length_a 10.5457
_cell_length_b 6.1219
_cell_length_c 6.1060
_cell_angle_alpha 90.00
_cell_angle_beta 123.81
_cell_angle_gamma 90.00
loop_
_atom_site_label
_atom_site_type_symbol
_atom_site_fract_x
_atom_site_fract_y
_atom_site_fract_z
Li1 Li 0.0000 0.0000 0.0000
Li2 Li 0.2500 0.2500 0.5000
Fe1 Fe 0.0000 0.5000 0.5000
Fe2 Fe 0.2500 0.2500 0.0000
W1 W 0.0000 0.0000 0.5000
O1 O 0.0056 0.2358 0.2810
O2 O 0.2228 0.0000 0.7230
O3 O 0.2261 0.5000 0.7423
```

---

Simulated powder X-ray diffraction pattern
Compound: LiYMo3O8
Radiation: Cu Kα
Structure: a GGA+U-relaxed structure

Top 6 peaks for 2θ from 10° to 90°, by intensity:
Position (°2θ)  d/Å  I (rel.)  index
24.3  3.666  100  1 0 1
49.7  1.833  73  0 2 2
32.9  2.720  63  2 0 0
17.9  4.963  50  0 0 1
33.8  2.654  43  1 1 1
37.7  2.385  42  0 2 1

Crystal structure
```
data_LiYMo3O8
_space_group_name_H-M_alt 'P 3 m 1'
_space_group_IT_number 156
_space_group_name_Hall 'P 3 -2"'
_cell_length_a 6.2816
_cell_length_b 6.2816
_cell_length_c 4.9627
_cell_angle_alpha 90.00
_cell_angle_beta 90.00
_cell_angle_gamma 120.00
loop_
_atom_site_label
_atom_site_type_symbol
_atom_site_fract_x
_atom_site_fract_y
_atom_site_fract_z
Li1 Li 0.0000 0.0000 0.0000
Y1 Y 0.6667 0.3333 0.0643
Mo1 Mo 0.1694 0.3387 0.5639
O1 O 0.0000 0.0000 0.3569
O2 O 0.0080 0.5040 0.3580
O3 O 0.3051 0.1525 0.7987
O4 O 0.3333 0.6667 0.7810
```

---

Simulated powder X-ray diffraction pattern
Compound: LiMn3Al2H6O12
Radiation: Cu Kα
Structure: a GGA+U-relaxed structure

Top 6 peaks for 2θ from 10° to 90°, by intensity:
Position (°2θ)  d/Å  I (rel.)  index
18.7  4.751  100  0 0 2
36.8  2.442  20  2 -2 1
37.0  2.427  19  2 1 -3
37.3  2.413  19  0 3 0
47.2  1.925  17  2 -2 3
47.6  1.911  16  2 1 -5

Crystal structure
```
data_LiMn3Al2H6O12
_space_group_name_H-M_alt 'P -1'
_space_group_IT_number 2
_space_group_name_Hall '-P 1'
_cell_length_a 5.9956
_cell_length_b 7.8504
_cell_length_c 10.5215
_cell_angle_alpha 105.51
_cell_angle_beta 106.13
_cell_angle_gamma 101.20
loop_
_atom_site_label
_atom_site_type_symbol
_atom_site_fract_x
_atom_site_fract_y
_atom_site_fract_z
Li1 Li 0.0795 0.3441 0.4986
Mn1 Mn 0.0000 0.0000 0.0000
Mn2 Mn 0.1736 0.6679 0.0037
Mn3 Mn 0.3287 0.3314 0.9988
Mn4 Mn 0.5000 0.0000 0.0000
Al1 Al 0.2431 0.9987 0.4988
Al2 Al 0.4125 0.6616 0.5028
H1 H 0.0851 0.6943 0.2967
H2 H 0.1038 0.9929 0.7093
H3 H 0.2501 0.3606 0.2912
H4 H 0.2902 0.6566 0.7097
H5 H 0.4086 0.0126 0.2920
H6 H 0.4362 0.3056 0.6986
O1 O 0.0422 0.9609 0.6064
O2 O 0.0493 0.3990 0.8972
O3 O 0.1080 0.2684 0.1013
O4 O 0.1567 0.7426 0.3997
O5 O 0.2163 0.0607 0.8978
O6 O 0.2260 0.6173 0.6072
O7 O 0.3112 0.9267 0.1103
O8 O 0.3186 0.4070 0.3946
O9 O 0.3828 0.2541 0.5958
O10 O 0.3895 0.7326 0.9008
O11 O 0.4498 0.5977 0.1038
O12 O 0.4637 0.0630 0.3967
```

---

Simulated powder X-ray diffraction pattern
Compound: BaFe4Sn2O11
Radiation: Cu Kα
Structure: a GGA+U-relaxed structure

Top 6 peaks for 2θ from 10° to 90°, by intensity:
Position (°2θ)  d/Å  I (rel.)  index
52.8  1.734  100  2 2 6
36.4  2.470  94  2 2 2
31.9  2.802  86  2 0 2
53.1  1.724  83  0 4 6
32.3  2.774  78  1 3 2
31.1  2.875  74  0 2 4

Crystal structure
```
data_BaFe4Sn2O11
_space_group_name_H-M_alt 'C m c m'
_space_group_IT_number 63
_space_group_name_Hall '-C 2c 2'
_cell_length_a 6.1351
_cell_length_b 10.4574
_cell_length_c 13.7695
_cell_angle_alpha 90.00
_cell_angle_beta 90.00
_cell_angle_gamma 90.00
loop_
_atom_site_label
_atom_site_type_symbol
_atom_site_fract_x
_atom_site_fract_y
_atom_site_fract_z
Ba1 Ba 0.0000 0.1639 0.2500
Fe1 Fe 0.0000 0.0000 0.0000
Fe2 Fe 0.0000 0.1641 0.7500
Fe3 Fe 0.0000 0.4979 0.6488
Sn1 Sn 0.2500 0.2500 0.0000
O1 O 0.0000 0.1648 0.5842
O2 O 0.0000 0.3268 0.0833
O3 O 0.0000 0.3482 0.7500
O4 O 0.2242 0.4233 0.2500
O5 O 0.2389 0.0842 0.0814
```

---

Simulated powder X-ray diffraction pattern
Compound: Sr2ZnWO6
Radiation: Cu Kα
Structure: a GGA+U-relaxed structure

Top 6 peaks for 2θ from 10° to 90°, by intensity:
Position (°2θ)  d/Å  I (rel.)  index
31.3  2.858  100  1 1 2
31.6  2.831  53  2 0 0
56.1  1.640  42  3 1 2
45.3  2.002  30  2 2 0
19.1  4.652  29  1 0 1
55.5  1.655  22  2 0 4

Crystal structure
```
data_Sr2ZnWO6
_space_group_name_H-M_alt 'I 4/m'
_space_group_IT_number 87
_space_group_name_Hall '-I 4'
_cell_length_a 5.6623
_cell_length_b 5.6623
_cell_length_c 8.1617
_cell_angle_alpha 90.00
_cell_angle_beta 90.00
_cell_angle_gamma 90.00
loop_
_atom_site_label
_atom_site_type_symbol
_atom_site_fract_x
_atom_site_fract_y
_atom_site_fract_z
Sr1 Sr 0.0000 0.5000 0.2500
Zn1 Zn 0.0000 0.0000 0.0000
W1 W 0.0000 0.0000 0.5000
O1 O 0.0000 0.0000 0.2606
O2 O 0.1947 0.7152 0.5000
```